(1)
Starting from a cell relaxed with GGA-PBE, the PXRD pattern of TbZrNi2 was calculated for Cu Kα.

Principal peaks in the range 10 to 90 degrees two-theta, most intense first:
2θ/deg  I/Imax  index
34.37  100  1 1 -2
34.04  98  0 1 2
42.11  65  0 2 0
36.60  54  2 0 0
27.60  52  1 1 0
43.65  48  2 1 -2

a b c (Å): 5.178 4.292 7.035
angles (deg): 90.00 108.49 90.00
Space group P2_1/m (No. 11)
Inequivalent atoms, fractional coordinates:
Tb  0.223  0.250  0.426
Zr  0.219  0.250  0.937
Ni  0.337  0.750  0.180
Ni  0.347  0.750  0.746

***

(2)
Starting from a cell relaxed with GGA-PBE, the PXRD pattern of BaNa2NbF8 was calculated for Cu Kα.

Principal peaks in the range 10 to 90 degrees two-theta, most intense first:
2θ/deg  I/Imax  index
15.82  100  0 1 0
27.70  91  0 1 2
24.79  77  1 1 0
25.64  57  1 -1 0
44.92  51  1 -2 2
34.43  48  1 -1 2

a b c (Å): 4.552 5.607 7.873
angles (deg): 89.91 89.95 88.05
Space group P-1 (No. 2)
Inequivalent atoms, fractional coordinates:
Ba  0.000  0.000  0.000
Na  0.499  0.499  0.237
Nb  0.000  0.000  0.500
F  0.142  0.786  0.303
F  0.142  0.786  0.697
F  0.330  0.218  0.500
F  0.456  0.260  0.000

***

(3)
Starting from a cell relaxed with GGA-PBE, the PXRD pattern of Al3PdPb was calculated for Cu Kα.

Principal peaks in the range 10 to 90 degrees two-theta, most intense first:
2θ/deg  I/Imax  index
26.14  100  1 1 0
46.13  44  2 1 1
37.31  38  2 0 0
53.79  26  2 2 0
73.51  23  3 2 1
60.76  20  3 1 0

a b c (Å): 4.821 4.821 4.821
angles (deg): 90.00 90.00 90.00
Space group Pm-3m (No. 221)
Inequivalent atoms, fractional coordinates:
Al  0.000  0.000  0.500
Pd  0.000  0.000  0.000
Pb  0.500  0.500  0.500

***

(4)
Starting from a cell relaxed with GGA-PBE, the PXRD pattern of Np3Pd2Au4 was calculated for Cu Kα.

Principal peaks in the range 10 to 90 degrees two-theta, most intense first:
2θ/deg  I/Imax  index
36.91  100  3 3 0
37.12  98  1 3 2
66.63  36  4 6 2
53.34  35  4 0 2
75.14  26  3 3 4
66.49  18  6 0 0

a b c (Å): 8.433 14.620 5.917
angles (deg): 90.00 90.00 90.00
Space group Cccm (No. 66)
Inequivalent atoms, fractional coordinates:
Np  0.000  0.000  0.250
Np  0.000  0.330  0.250
Pd  0.167  0.168  0.000
Au  0.166  0.166  0.500
Au  0.167  0.498  0.000

***

(5)
Starting from a cell relaxed with GGA-PBE, the PXRD pattern of AuS8 was calculated for Cu Kα.

Principal peaks in the range 10 to 90 degrees two-theta, most intense first:
2θ/deg  I/Imax  index
20.59  100  1 1 0
19.17  86  1 0 1
13.83  64  0 1 1
30.43  52  1 0 3
38.09  42  1 3 0
27.29  42  0 1 3

a b c (Å): 5.131 7.971 10.748
angles (deg): 90.00 90.00 90.00
Space group Immm (No. 71)
Inequivalent atoms, fractional coordinates:
Au  0.000  0.000  0.000
S  0.000  0.000  0.339
S  0.000  0.227  0.245
S  0.000  0.280  0.000

***

(6)
Starting from a cell relaxed with GGA-PBE, the PXRD pattern of BaSr2In2Sn2 was calculated for Cu Kα.

Principal peaks in the range 10 to 90 degrees two-theta, most intense first:
2θ/deg  I/Imax  index
33.21  100  1 1 0
28.34  80  1 0 7
30.67  30  0 1 8
44.21  23  0 2 7
56.40  23  2 1 7
17.84  20  0 0 6

a b c (Å): 5.3949 5.3949 29.8366
angles (deg): 90.00 90.00 120.00
Space group R-3m (No. 166, hexagonal axes)
Inequivalent atoms, fractional coordinates:
Ba  0.0000  0.0000  0.0000
Sr  0.0000  0.0000  0.1328
In  0.0000  0.0000  0.4189
Sn  0.0000  0.0000  0.2561

***

(7)
Starting from a cell relaxed with GGA-PBE, the PXRD pattern of Y10Tl3In3 was calculated for Cu Kα.

Principal peaks in the range 10 to 90 degrees two-theta, most intense first:
2θ/deg  I/Imax  index
33.08  100  2 1 1
33.52  65  1 1 2
34.26  31  3 0 0
43.76  28  3 1 1
51.61  28  2 1 3
26.93  28  0 0 2

a b c (Å): 9.0662 9.0662 6.6214
angles (deg): 90.00 90.00 120.00
Space group P-62m (No. 189)
Inequivalent atoms, fractional coordinates:
Y  0.0000  0.2363  0.0000
Y  0.0000  0.7634  0.5000
Y  0.3333  0.6667  0.2498
Tl  0.0000  0.4022  0.5000
In  0.0000  0.5979  0.0000

***

(8)
Starting from a cell relaxed with GGA-PBE, the PXRD pattern of Ac3Ga2BiPd9 was calculated for Cu Kα.

Principal peaks in the range 10 to 90 degrees two-theta, most intense first:
2θ/deg  I/Imax  index
37.32  100  2 0 2
30.10  75  0 2 1
48.30  47  2 2 0
23.61  40  1 1 0
58.96  25  0 2 4
28.49  25  0 1 2

a b c (Å): 7.5376 7.5376 7.1421
angles (deg): 90.00 90.00 120.00
Space group P-3m1 (No. 164)
Inequivalent atoms, fractional coordinates:
Ac  0.0000  0.0000  0.0000
Ac  0.3333  0.6667  0.6610
Ga  0.3333  0.6667  0.1409
Bi  0.0000  0.0000  0.5000
Pd  0.0000  0.5000  0.0000
Pd  0.1789  0.3578  0.3227

***

(9)
Starting from a cell relaxed with GGA-PBE, the PXRD pattern of Ba3Pu2N4O2 was calculated for Cu Kα.

Principal peaks in the range 10 to 90 degrees two-theta, most intense first:
2θ/deg  I/Imax  index
28.74  100  1 0 5
29.21  53  1 1 0
51.50  41  2 1 5
41.78  26  2 0 0
50.62  18  1 1 10
59.52  14  2 0 10

a b c (Å): 4.324 4.324 22.328
angles (deg): 90.00 90.00 90.00
Space group I4/mmm (No. 139)
Inequivalent atoms, fractional coordinates:
Ba  0.000  0.000  0.000
Ba  0.000  0.000  0.185
Pu  0.000  0.000  0.402
N  0.000  0.500  0.091
O  0.000  0.000  0.306